1.
Starting from a structure optimized by DFT (GGA-PBE), the PXRD pattern of PmTm5Zn4 was simulated for Cu Kα (λ = 1.5418 Å).
Kinematic intensities with the Lorentz-polarization factor, no thermal factor.

Top 6 peaks for 2θ = 10–80°, low angle first:
2θ/deg  I (rel.)  hkl
25.25  19  1 0 0
34.47  100  1 0 5
36.01  74  1 1 0
37.89  34  1 0 6
51.85  26  2 0 0
63.76  34  2 1 5

Crystal structure
```
data_PmTm5Zn4
_chemical_formula_sum 'Pm1 Tm5 Zn4'
_space_group_name_H-M_alt 'P 4/m m m'
_space_group_IT_number 123
_space_group_name_Hall '-P 4 2'
_cell_length_a 3.5267
_cell_length_b 3.5267
_cell_length_c 19.2680
_cell_angle_alpha 90.00
_cell_angle_beta 90.00
_cell_angle_gamma 90.00
loop_
_atom_site_label
_atom_site_type_symbol
_atom_site_fract_x
_atom_site_fract_y
_atom_site_fract_z
Pm1 Pm 0.0000 0.0000 0.0000
Tm1 Tm 0.5000 0.5000 0.1358
Tm2 Tm 0.5000 0.5000 0.3176
Tm3 Tm 0.5000 0.5000 0.5000
Zn1 Zn 0.0000 0.0000 0.2258
Zn2 Zn 0.0000 0.0000 0.4075
```



2.
Starting from a structure optimized by DFT (GGA-PBE), the PXRD pattern of Pm4Tm3Zn was simulated for Cu Kα (λ = 1.5418 Å).
Kinematic intensities with the Lorentz-polarization factor, no thermal factor.

Top 6 peaks for 2θ = 10–80°, low angle first:
2θ/deg  I (rel.)  hkl
28.59  13  1 0 3
31.36  100  1 0 4
35.10  43  1 1 0
50.49  16  2 0 0
53.30  14  1 1 8
60.65  30  2 1 4

Crystal structure
```
data_Pm4Tm3Zn
_chemical_formula_sum 'Pm4 Tm3 Zn1'
_space_group_name_H-M_alt 'P 4/m m m'
_space_group_IT_number 123
_space_group_name_Hall '-P 4 2'
_cell_length_a 3.6153
_cell_length_b 3.6153
_cell_length_c 18.5723
_cell_angle_alpha 90.00
_cell_angle_beta 90.00
_cell_angle_gamma 90.00
loop_
_atom_site_label
_atom_site_type_symbol
_atom_site_fract_x
_atom_site_fract_y
_atom_site_fract_z
Pm1 Pm 0.0000 0.0000 0.0988
Pm2 Pm 0.0000 0.0000 0.3672
Tm1 Tm 0.5000 0.5000 0.2352
Tm2 Tm 0.5000 0.5000 0.5000
Zn1 Zn 0.5000 0.5000 0.0000
```



3.
Starting from a structure optimized by DFT (GGA-PBE), the PXRD pattern of Pm3TmZn8 was simulated for Cu Kα (λ = 1.5418 Å).
Kinematic intensities with the Lorentz-polarization factor, no thermal factor.

Top 6 peaks for 2θ = 10–80°, low angle first:
2θ/deg  I (rel.)  hkl
31.83  53  1 1 0
36.08  68  0 1 3
38.13  100  1 1 2
38.40  52  2 0 1
59.51  32  1 2 3
66.05  27  2 0 5

Crystal structure
```
data_Pm3TmZn8
_chemical_formula_sum 'Pm3 Tm1 Zn8'
_space_group_name_H-M_alt 'P 3 m 1'
_space_group_IT_number 156
_cell_length_a 5.6226
_cell_length_b 5.6226
_cell_length_c 8.6895
_cell_angle_alpha 90.00
_cell_angle_beta 90.00
_cell_angle_gamma 120.00
loop_
_space_group_symop_operation_xyz
'x,y,z'
'-y,x-y,z'
'-x+y,-x,z'
'-y,-x,z'
'-x+y,y,z'
'x,x-y,z'
loop_
_atom_site_label
_atom_site_type_symbol
_atom_site_fract_x
_atom_site_fract_y
_atom_site_fract_z
Pm1 Pm 0.0000 0.0000 0.0000
Pm2 Pm 0.0000 0.0000 0.3929
Pm3 Pm 0.3333 0.6667 0.8916
Tm1 Tm 0.3333 0.6667 0.5039
Zn1 Zn 0.0021 0.5010 0.2009
Zn2 Zn 0.3371 0.1686 0.6950
Zn3 Zn 0.6667 0.3333 0.4451
Zn4 Zn 0.6667 0.3333 0.9493
```



4.
Starting from a structure optimized by DFT (GGA-PBE), the PXRD pattern of PmTm5Zn6 was simulated for Cu Kα (λ = 1.5418 Å).
Kinematic intensities with the Lorentz-polarization factor, no thermal factor.

Top 6 peaks for 2θ = 10–80°, low angle first:
2θ/deg  I (rel.)  hkl
25.16  15  1 3 0
35.79  100  1 3 2
35.96  20  2 0 0
64.24  14  2 0 4
64.34  14  1 9 2
64.53  14  3 3 2

Crystal structure
```
data_PmTm5Zn6
_chemical_formula_sum 'Pm2 Tm10 Zn12'
_space_group_name_H-M_alt 'C m m m'
_space_group_IT_number 65
_space_group_name_Hall '-C 2 2'
_cell_length_a 4.9949
_cell_length_b 15.0447
_cell_length_c 7.1152
_cell_angle_alpha 90.00
_cell_angle_beta 90.00
_cell_angle_gamma 90.00
loop_
_atom_site_label
_atom_site_type_symbol
_atom_site_fract_x
_atom_site_fract_y
_atom_site_fract_z
Pm1 Pm 0.0000 0.0000 0.0000
Tm1 Tm 0.0000 0.0000 0.5000
Tm2 Tm 0.0000 0.3314 0.0000
Tm3 Tm 0.0000 0.3355 0.5000
Zn1 Zn 0.0000 0.1699 0.2568
Zn2 Zn 0.0000 0.5000 0.2567
```



5.
Starting from a structure optimized by DFT (GGA-PBE), the PXRD pattern of Pm3TmZn was simulated for Cu Kα (λ = 1.5418 Å).
Kinematic intensities with the Lorentz-polarization factor, no thermal factor.

Top 6 peaks for 2θ = 10–80°, low angle first:
2θ/deg  I (rel.)  hkl
28.06  52  2 2 0
29.76  49  0 0 2
30.28  100  2 2 -2
31.89  39  4 0 -1
32.18  40  1 3 -1
37.54  32  2 2 1

Crystal structure
```
data_Pm3TmZn
_chemical_formula_sum 'Pm12 Tm4 Zn4'
_space_group_name_H-M_alt 'C 1 2/m 1'
_space_group_IT_number 12
_cell_length_a 11.9113
_cell_length_b 8.9184
_cell_length_c 7.8831
_cell_angle_alpha 90.00
_cell_angle_beta 130.40
_cell_angle_gamma 90.00
loop_
_space_group_symop_operation_xyz
'x,y,z'
'-x,-y,-z'
'-x,y,-z'
'x,-y,z'
'x+1/2,y+1/2,z'
'-x+1/2,-y+1/2,-z'
'-x+1/2,y+1/2,-z'
'x+1/2,-y+1/2,z'
loop_
_atom_site_label
_atom_site_type_symbol
_atom_site_fract_x
_atom_site_fract_y
_atom_site_fract_z
Pm1 Pm 0.0526 0.0000 0.3225
Pm2 Pm 0.2192 0.3078 0.7482
Tm1 Tm 0.0665 0.5000 0.2646
Zn1 Zn 0.2392 0.5000 0.1093
```



6.
Starting from a structure optimized by DFT (GGA-PBE), the PXRD pattern of Pm4TmZn was simulated for Cu Kα (λ = 1.5418 Å).
Kinematic intensities with the Lorentz-polarization factor, no thermal factor.

Top 6 peaks for 2θ = 10–80°, low angle first:
2θ/deg  I (rel.)  hkl
27.73  15  1 0 2
31.34  100  1 0 3
34.92  44  1 1 0
50.22  16  2 0 0
53.37  13  1 1 6
60.40  31  2 1 3

Crystal structure
```
data_Pm4TmZn
_chemical_formula_sum 'Pm4 Tm1 Zn1'
_space_group_name_H-M_alt 'P 4/m m m'
_space_group_IT_number 123
_space_group_name_Hall '-P 4 2'
_cell_length_a 3.6333
_cell_length_b 3.6333
_cell_length_c 13.8421
_cell_angle_alpha 90.00
_cell_angle_beta 90.00
_cell_angle_gamma 90.00
loop_
_atom_site_label
_atom_site_type_symbol
_atom_site_fract_x
_atom_site_fract_y
_atom_site_fract_z
Pm1 Pm 0.0000 0.0000 0.1325
Pm2 Pm 0.5000 0.5000 0.3210
Tm1 Tm 0.0000 0.0000 0.5000
Zn1 Zn 0.5000 0.5000 0.0000
```



7.
Starting from a structure optimized by DFT (GGA-PBE), the PXRD pattern of PmTm4Zr was simulated for Cu Kα (λ = 1.5418 Å).
Kinematic intensities with the Lorentz-polarization factor, no thermal factor.

Top 6 peaks for 2θ = 10–80°, low angle first:
2θ/deg  I (rel.)  hkl
31.31  72  1 0 1
31.93  100  1 3 0
33.56  48  2 0 0
38.15  38  0 3 1
51.70  32  2 3 1
64.35  27  1 3 2

Crystal structure
```
data_PmTm4Zr
_chemical_formula_sum 'Pm1 Tm4 Zr1'
_space_group_name_H-M_alt 'P m m 2'
_space_group_IT_number 25
_cell_length_a 5.3408
_cell_length_b 9.8798
_cell_length_c 3.3814
_cell_angle_alpha 90.00
_cell_angle_beta 90.00
_cell_angle_gamma 90.00
loop_
_space_group_symop_operation_xyz
'x,y,z'
'-x,-y,z'
'-x,y,z'
'x,-y,z'
loop_
_atom_site_label
_atom_site_type_symbol
_atom_site_fract_x
_atom_site_fract_y
_atom_site_fract_z
Pm1 Pm 0.0000 0.0000 0.0000
Tm1 Tm 0.0000 0.3358 0.9982
Tm2 Tm 0.5000 0.1917 0.4987
Zr1 Zr 0.5000 0.5000 0.9978
```



8.
Starting from a structure optimized by DFT (GGA-PBE), the PXRD pattern of PmUZn was simulated for Cu Kα (λ = 1.5418 Å).
Kinematic intensities with the Lorentz-polarization factor, no thermal factor.

Top 6 peaks for 2θ = 10–80°, low angle first:
2θ/deg  I (rel.)  hkl
12.99  38  2 0 0
15.79  90  1 0 1
28.54  58  0 1 1
35.21  68  3 0 2
36.15  100  4 1 0
38.92  84  1 1 2

Crystal structure
```
data_PmUZn
_chemical_formula_sum 'Pm4 U4 Zn4'
_space_group_name_H-M_alt 'P n m a'
_space_group_IT_number 62
_cell_length_a 13.6291
_cell_length_b 3.6305
_cell_length_c 6.1575
_cell_angle_alpha 90.00
_cell_angle_beta 90.00
_cell_angle_gamma 90.00
loop_
_space_group_symop_operation_xyz
'x,y,z'
'-x,-y,-z'
'-x+1/2,-y,z+1/2'
'x+1/2,y,-z+1/2'
'x+1/2,-y+1/2,-z+1/2'
'-x+1/2,y+1/2,z+1/2'
'-x,y+1/2,-z'
'x,-y+1/2,z'
loop_
_atom_site_label
_atom_site_type_symbol
_atom_site_fract_x
_atom_site_fract_y
_atom_site_fract_z
Pm1 Pm 0.2161 0.2500 0.1789
U1 U 0.0469 0.7500 0.9077
Zn1 Zn 0.0645 0.7500 0.4140
```



9.
Starting from a structure optimized by DFT (GGA-PBE), the PXRD pattern of Pm2Y13 was simulated for Cu Kα (λ = 1.5418 Å).
Kinematic intensities with the Lorentz-polarization factor, no thermal factor.

Top 6 peaks for 2θ = 10–80°, low angle first:
2θ/deg  I (rel.)  hkl
30.01  19  1 1 -2
31.73  100  1 3 1
31.80  27  2 1 2
44.28  10  3 2 0
56.60  23  3 4 3
61.60  23  4 0 -2

Crystal structure
```
data_Pm2Y13
_chemical_formula_sum 'Pm2 Y13'
_space_group_name_H-M_alt 'P -1'
_space_group_IT_number 2
_cell_length_a 6.6630
_cell_length_b 8.7910
_cell_length_c 9.0783
_cell_angle_alpha 69.04
_cell_angle_beta 84.04
_cell_angle_gamma 80.70
loop_
_space_group_symop_operation_xyz
'x,y,z'
'-x,-y,-z'
loop_
_atom_site_label
_atom_site_type_symbol
_atom_site_fract_x
_atom_site_fract_y
_atom_site_fract_z
Pm1 Pm 0.1985 0.3042 0.3964
Y1 Y 0.0000 0.5000 0.0000
Y2 Y 0.0947 0.9239 0.6927
Y3 Y 0.1349 0.6943 0.2665
Y4 Y 0.2373 0.0763 0.9752
Y5 Y 0.3345 0.4984 0.6679
Y6 Y 0.4312 0.9197 0.3607
Y7 Y 0.4668 0.6970 0.9335
```



10.
Starting from a structure optimized by DFT (GGA-PBE), the PXRD pattern of Pm4Y3 was simulated for Cu Kα (λ = 1.5418 Å).
Kinematic intensities with the Lorentz-polarization factor, no thermal factor.

Top 6 peaks for 2θ = 10–80°, low angle first:
2θ/deg  I (rel.)  hkl
30.27  100  1 1 2
35.07  34  0 2 0
35.15  17  4 0 1
50.45  30  4 2 1
59.96  28  5 1 3
60.08  14  7 1 0

Crystal structure
```
data_Pm4Y3
_chemical_formula_sum 'Pm8 Y6'
_space_group_name_H-M_alt 'C 1 2/m 1'
_space_group_IT_number 12
_cell_length_a 11.4066
_cell_length_b 5.1183
_cell_length_c 8.0973
_cell_angle_alpha 90.00
_cell_angle_beta 98.07
_cell_angle_gamma 90.00
loop_
_space_group_symop_operation_xyz
'x,y,z'
'-x,-y,-z'
'-x,y,-z'
'x,-y,z'
'x+1/2,y+1/2,z'
'-x+1/2,-y+1/2,-z'
'-x+1/2,y+1/2,-z'
'x+1/2,-y+1/2,z'
loop_
_atom_site_label
_atom_site_type_symbol
_atom_site_fract_x
_atom_site_fract_y
_atom_site_fract_z
Pm1 Pm 0.1432 0.0000 0.4278
Pm2 Pm 0.2143 0.5000 0.1423
Y1 Y 0.0000 0.0000 0.0000
Y2 Y 0.0715 0.5000 0.7141
```



11.
Starting from a structure optimized by DFT (GGA-PBE), the PXRD pattern of Pm3Y5 was simulated for Cu Kα (λ = 1.5418 Å).
Kinematic intensities with the Lorentz-polarization factor, no thermal factor.

Top 6 peaks for 2θ = 10–80°, low angle first:
2θ/deg  I (rel.)  hkl
28.10  24  0 0 4
31.11  24  0 2 0
32.21  100  1 1 2
56.05  20  1 3 2
59.84  22  2 2 0
60.50  16  0 1 8

Crystal structure
```
data_Pm3Y5
_chemical_formula_sum 'Pm3 Y5'
_space_group_name_H-M_alt 'P m m 2'
_space_group_IT_number 25
_cell_length_a 3.6627
_cell_length_b 5.7497
_cell_length_c 12.7117
_cell_angle_alpha 90.00
_cell_angle_beta 90.00
_cell_angle_gamma 90.00
loop_
_space_group_symop_operation_xyz
'x,y,z'
'-x,-y,z'
'-x,y,z'
'x,-y,z'
loop_
_atom_site_label
_atom_site_type_symbol
_atom_site_fract_x
_atom_site_fract_y
_atom_site_fract_z
Pm1 Pm 0.0000 0.0000 0.0000
Pm2 Pm 0.0000 0.5000 0.1714
Pm3 Pm 0.5000 0.0000 0.2514
Y1 Y 0.0000 0.0000 0.5036
Y2 Y 0.0000 0.5000 0.6668
Y3 Y 0.5000 0.0000 0.7506
Y4 Y 0.5000 0.5000 0.4205
Y5 Y 0.5000 0.5000 0.9151
```



12.
Starting from a structure optimized by DFT (GGA-PBE), the PXRD pattern of Pm13Y3 was simulated for Cu Kα (λ = 1.5418 Å).
Kinematic intensities with the Lorentz-polarization factor, no thermal factor.

Top 6 peaks for 2θ = 10–80°, low angle first:
2θ/deg  I (rel.)  hkl
27.98  24  0 0 4
30.56  25  0 4 0
31.96  100  2 2 2
49.50  19  4 0 0
55.20  21  2 6 2
59.30  23  4 4 0

Crystal structure
```
data_Pm13Y3
_chemical_formula_sum 'Pm26 Y6'
_space_group_name_H-M_alt 'A m m 2'
_space_group_IT_number 38
_cell_length_a 7.3671
_cell_length_b 11.7024
_cell_length_c 12.7543
_cell_angle_alpha 90.00
_cell_angle_beta 90.00
_cell_angle_gamma 90.00
loop_
_space_group_symop_operation_xyz
'x,y,z'
'-x,-y,z'
'-x,y,z'
'x,-y,z'
'x,y+1/2,z+1/2'
'-x,-y+1/2,z+1/2'
'-x,y+1/2,z+1/2'
'x,-y+1/2,z+1/2'
loop_
_atom_site_label
_atom_site_type_symbol
_atom_site_fract_x
_atom_site_fract_y
_atom_site_fract_z
Pm1 Pm 0.0000 0.0000 0.9995
Pm2 Pm 0.0000 0.0000 0.4988
Pm3 Pm 0.0000 0.2486 0.1659
Pm4 Pm 0.2501 0.0000 0.7491
Pm5 Pm 0.2506 0.2485 0.4163
Pm6 Pm 0.5000 0.0000 0.0000
Pm7 Pm 0.5000 0.2492 0.1663
Y1 Y 0.2501 0.0000 0.2501
Y2 Y 0.5000 0.0000 0.4983
```